# 1
For BaFe4F12, a PBE+U-relaxed structure gives the calculated powder diffractogram in this record (CuKα).
Neutral-atom scattering factors, no anomalous dispersion.

Principal peaks in the range 15° ≤ 2θ ≤ 90°, in order of rising 2θ:
15.5 deg, I = 100, (0 1 1)
21.9 deg, I = 43, (0 2 0)
27.0 deg, I = 43, (1 2 1)
31.2 deg, I = 79, (2 2 0)
35.0 deg, I = 21, (1 3 0)
41.7 deg, I = 32, (3 1 2)
44.7 deg, I = 40, (0 4 0)
44.8 deg, I = 20, (4 0 0)
55.6 deg, I = 31, (4 2 2)
65.1 deg, I = 33, (0 4 4)

Structure:
Cell lengths 8.0875, 8.1057, 8.1092 Å; angles 90.00, 90.00, 90.00 degrees
Space group Immm (No. 71)
Unique sites:
Ba1 0.0000 0.0000 0.0000 (multiplicity 2)
Fe1 0.2500 0.2500 0.2500 (multiplicity 8)
F1 0.0000 0.2446 0.2435 (multiplicity 8)
F2 0.2415 0.0000 0.2430 (multiplicity 8)
F3 0.2425 0.2426 0.0000 (multiplicity 8)

=====

# 2
For Ba3CrTe2O8, a PBE+U-relaxed structure gives the calculated powder diffractogram in this record (CuKα).
Neutral-atom scattering factors, no anomalous dispersion.

Principal peaks in the range 15° ≤ 2θ ≤ 90°, in order of rising 2θ:
20.4 deg, I = 13, (0 1 1)
28.2 deg, I = 82, (0 1 2)
29.9 deg, I = 100, (1 1 0)
37.9 deg, I = 19, (1 0 3)
41.5 deg, I = 43, (2 0 2)
48.8 deg, I = 14, (1 0 4)
52.0 deg, I = 30, (1 2 2)
53.1 deg, I = 19, (3 0 0)
62.1 deg, I = 16, (2 2 0)
69.5 deg, I = 13, (3 1 2)

Structure:
Cell lengths 5.9796, 5.9796, 8.0071 Å; angles 90.00, 90.00, 120.00 degrees
Space group P-3m1 (No. 164)
Unique sites:
Ba1 0.0000 0.0000 0.0000 (multiplicity 1)
Ba2 0.3333 0.6667 0.6346 (multiplicity 2)
Cr1 0.0000 0.0000 0.5000 (multiplicity 1)
Te1 0.3333 0.6667 0.2025 (multiplicity 2)
O1 0.1618 0.3236 0.3340 (multiplicity 6)
O2 0.3333 0.6667 0.9478 (multiplicity 2)